This entry pairs a crystal structure of Mg2VOsO6 with its computed PXRD pattern. Radiation: copper Kα. Structure: a structure optimized by DFT (PBE+U).
Peak positions follow from Bragg's law for the DFT cell and can differ from measured ones.

```
data_Mg2VOsO6
_cell_length_a 5.7206
_cell_length_b 5.7206
_cell_length_c 3.8124
_cell_angle_alpha 90.00
_cell_angle_beta 90.00
_cell_angle_gamma 90.00
_space_group_name_H-M_alt 'P 4 m m'
_space_group_IT_number 99
_space_group_name_Hall 'P 4 -2'
loop_
_atom_site_label
_atom_site_type_symbol
_atom_site_fract_x
_atom_site_fract_y
_atom_site_fract_z
Mg1 Mg 0.0000 0.5000 0.0000
V1 V 0.0000 0.0000 0.8233
Os1 Os 0.5000 0.5000 0.8826
O1 O 0.0000 0.0000 0.3766
O2 O 0.2451 0.2451 0.9057
O3 O 0.5000 0.5000 0.3848
```

The 10 most intense peaks (10 to 90 degrees two-theta), sorted by position:
index  2theta  intensity
1 0 0  15.5  763
1 1 0  22.0  1000
0 0 1  23.3  851
1 0 1  28.1  416
2 0 0  31.3  548
1 1 1  32.3  446
2 1 1  42.6  303
2 2 0  44.8  451
3 1 0  50.5  309
2 2 1  51.1  381